(1)
Structure and simulated X-ray powder pattern of NdTm3S6 (the PBE geometry in the Materials Project; Cu Kα, 1.54184 Å).
Lines closer than 0.1° are merged.

Top 8 peaks for 2θ = 10–80°, sorted by position:
2θ = 23.7°, rel. 77.8, hkl 1 0 -3; 2θ = 24.3°, rel. 100.0, hkl 3 0 -1; 2θ = 26.4°, rel. 66.0, hkl 1 1 1; 2θ = 27.6°, rel. 44.9, hkl 2 0 2; 2θ = 27.7°, rel. 50.4, hkl 1 1 -2; 2θ = 31.2°, rel. 69.7, hkl 2 1 1; 2θ = 34.4°, rel. 50.3, hkl 3 1 0; 2θ = 42.5°, rel. 60.7, hkl 4 1 -3

Atomic structure:
abc: 10.993 3.952 11.273
angles: 90.00 108.93 90.00
Space group P2_1/m (No. 11)
Asymmetric unit:
1 Nd 0.050 0.250 0.196 [2 per cell]
2 Tm 0.161 0.250 0.587 [2 per cell]
3 Tm 0.320 0.750 0.999 [2 per cell]
4 Tm 0.444 0.250 0.334 [2 per cell]
5 S 0.082 0.750 0.407 [2 per cell]
6 S 0.119 0.250 0.964 [2 per cell]
7 S 0.197 0.750 0.749 [2 per cell]
8 S 0.268 0.750 0.229 [2 per cell]
9 S 0.393 0.250 0.557 [2 per cell]
10 S 0.479 0.250 0.112 [2 per cell]



(2)
Structure and simulated X-ray powder pattern of VFeAs2 (the PBE geometry in the Materials Project; Cu Kα, 1.54184 Å).
Lines closer than 0.1° are merged.

Top 8 peaks for 2θ = 10–80°, sorted by position:
2θ = 33.1°, rel. 47.6, hkl 0 2 1; 2θ = 34.4°, rel. 100.0, hkl 1 1 1; 2θ = 42.9°, rel. 40.9, hkl 1 2 1; 2θ = 43.6°, rel. 35.5, hkl 0 2 2; 2θ = 44.7°, rel. 68.8, hkl 1 1 2; 2θ = 51.1°, rel. 23.3, hkl 0 1 3; 2θ = 52.0°, rel. 36.5, hkl 1 3 0; 2θ = 54.8°, rel. 28.5, hkl 2 0 0

Atomic structure:
abc: 3.350 6.192 5.598
angles: 90.00 90.00 90.00
Space group Pmc2_1 (No. 26)
Asymmetric unit:
1 V 0.000 0.049 0.000 [2 per cell]
2 Fe 0.500 0.438 0.990 [2 per cell]
3 As 0.000 0.336 0.693 [2 per cell]
4 As 0.500 0.187 0.304 [2 per cell]



(3)
Structure and simulated X-ray powder pattern of Mg15Mn (the PBE geometry in the Materials Project; Cu Kα, 1.54184 Å).
Lines closer than 0.1° are merged.

Top 8 peaks for 2θ = 10–80°, sorted by position:
2θ = 32.6°, rel. 24.5, hkl 2 0 0; 2θ = 35.3°, rel. 25.7, hkl 0 0 4; 2θ = 37.2°, rel. 100.0, hkl 2 0 2; 2θ = 48.9°, rel. 15.0, hkl 2 0 4; 2θ = 58.2°, rel. 17.0, hkl 2 2 0; 2θ = 64.7°, rel. 18.1, hkl 2 0 6; 2θ = 70.0°, rel. 18.7, hkl 2 2 4; 2θ = 71.2°, rel. 13.3, hkl 4 0 2

Atomic structure:
abc: 6.3374 6.3374 10.1610
angles: 90.00 90.00 120.00
Space group P-6m2 (No. 187)
Asymmetric unit:
1 Mg 0.0000 0.0000 0.0000 [1 per cell]
2 Mg 0.0002 0.5001 0.0000 [3 per cell]
3 Mg 0.0002 0.5001 0.5000 [3 per cell]
4 Mg 0.1641 0.3281 0.2540 [6 per cell]
5 Mg 0.6667 0.3333 0.2491 [2 per cell]
6 Mn 0.0000 0.0000 0.5000 [1 per cell]



(4)
Structure and simulated X-ray powder pattern of Ag2Se (the PBE geometry in the Materials Project; Cu Kα, 1.54184 Å).
Lines closer than 0.1° are merged.

Top 8 peaks for 2θ = 10–80°, sorted by position:
2θ = 27.5°, rel. 42.1, hkl 1 0 2; 2θ = 31.8°, rel. 100.0, hkl 2 1 1; 2θ = 34.1°, rel. 55.8, hkl 2 0 2; 2θ = 36.1°, rel. 60.2, hkl 0 2 0; 2θ = 42.1°, rel. 28.1, hkl 0 1 3; 2θ = 43.7°, rel. 25.8, hkl 1 1 3; 2θ = 50.4°, rel. 23.8, hkl 4 1 0; 2θ = 50.5°, rel. 35.2, hkl 2 2 2

Atomic structure:
abc: 7.774 4.970 7.147
angles: 90.00 90.00 90.00
Space group Pnma (No. 62)
Asymmetric unit:
1 Ag 0.026 0.250 0.242 [4 per cell]
2 Ag 0.211 0.750 0.114 [4 per cell]
3 Se 0.216 0.750 0.515 [4 per cell]



(5)
Structure and simulated X-ray powder pattern of RbSi2O5 (the PBE geometry in the Materials Project; Cu Kα, 1.54184 Å).
Lines closer than 0.1° are merged.

Top 8 peaks for 2θ = 10–80°, sorted by position:
2θ = 22.3°, rel. 41.8, hkl 1 1 1; 2θ = 25.9°, rel. 56.3, hkl 2 2 0; 2θ = 28.7°, rel. 73.0, hkl 3 0 1; 2θ = 29.0°, rel. 100.0, hkl 1 2 1; 2θ = 31.5°, rel. 26.8, hkl 4 1 0; 2θ = 43.3°, rel. 14.6, hkl 0 4 0; 2θ = 45.4°, rel. 14.3, hkl 2 2 2; 2θ = 52.8°, rel. 16.7, hkl 3 4 1

Atomic structure:
abc: 12.072 8.362 4.905
angles: 90.00 90.00 90.00
Space group Pnma (No. 62)
Asymmetric unit:
1 Rb 0.030 0.250 0.035 [4 per cell]
2 Si 0.184 0.561 0.503 [8 per cell]
3 O 0.071 0.501 0.650 [8 per cell]
4 O 0.184 0.750 0.406 [4 per cell]
5 O 0.215 0.044 0.230 [8 per cell]